(1)
For ErAl4Mo2, a structure optimized by DFT (PBE) gives the calculated powder X-ray diffraction pattern in this record (Cu Ka).

Top 10 peaks for 2θ from 10° to 90°, sorted by position:
d [Å], Position (°2θ), intensity
4.185, 21.23, 53
3.362, 26.51, 75
2.621, 34.21, 75
2.377, 37.85, 68
2.330, 38.64, 100
2.067, 43.80, 34
1.664, 55.19, 54
1.503, 61.70, 21
1.363, 68.87, 25
1.183, 81.37, 26

Cell and atoms:
```
ErAl4Mo2
1.0
-3.362 3.362 2.674
3.362 -3.362 2.674
3.362 3.362 -2.674
Er Al Mo
1 4 2
direct
0.000 0.000 0.000
0.306 0.306 0.611
0.306 0.694 0.000
0.694 0.306 0.000
0.694 0.694 0.389
0.250 0.750 0.500
0.750 0.250 0.500
```



(2)
For Cs, a structure optimized by DFT (PBE) gives the calculated powder X-ray diffraction pattern in this record (Cu Ka).

Top 10 peaks for 2θ from 10° to 90°, sorted by position:
d [Å], Position (°2θ), intensity
4.463, 19.89, 100
4.037, 22.02, 32
3.865, 23.01, 11
3.713, 23.96, 16
2.733, 32.77, 7
2.678, 33.47, 13
2.577, 34.82, 36
2.405, 37.40, 7
2.231, 40.42, 12
1.743, 52.50, 8

Cell and atoms:
```
Cs
1.0
-9.467 9.467 9.467
9.467 -9.467 9.467
9.467 9.467 -9.467
Cs
29
direct
0.000 0.000 0.000
0.000 0.000 0.635
0.000 0.190 0.373
0.000 0.373 0.190
0.000 0.404 0.682
0.000 0.635 0.000
0.000 0.682 0.404
0.183 0.810 0.810
0.190 0.000 0.373
0.190 0.373 0.000
0.278 0.596 0.596
0.318 0.318 0.722
0.318 0.722 0.318
0.365 0.365 0.365
0.373 0.000 0.190
0.373 0.190 0.000
0.404 0.000 0.682
0.404 0.682 0.000
0.596 0.278 0.596
0.596 0.596 0.278
0.627 0.627 0.817
0.627 0.817 0.627
0.635 0.000 0.000
0.682 0.000 0.404
0.682 0.404 0.000
0.722 0.318 0.318
0.810 0.183 0.810
0.810 0.810 0.183
0.817 0.627 0.627
```



(3)
For Nd3O2F5, a structure optimized by DFT (PBE) gives the calculated powder X-ray diffraction pattern in this record (Cu Ka).

Top 10 peaks for 2θ from 10° to 90°, sorted by position:
d [Å], Position (°2θ), intensity
4.616, 19.23, 26
3.839, 23.17, 53
3.624, 24.56, 73
3.169, 28.16, 100
3.044, 29.34, 68
2.196, 41.11, 22
2.026, 44.72, 34
1.930, 47.09, 20
1.921, 47.33, 26
1.718, 53.34, 18

Cell and atoms:
```
Nd3O2F5
1.0
5.614 0.000 0.000
0.000 3.842 0.000
-0.868 0.000 14.970
Nd O F
6 4 10
direct
0.000 0.000 0.000
0.005 0.000 0.311
0.384 0.500 0.852
0.415 0.500 0.478
0.510 0.500 0.123
0.925 0.000 0.702
0.147 0.000 0.845
0.203 0.000 0.443
0.244 0.500 0.990
0.625 0.000 0.060
0.151 0.500 0.716
0.225 0.000 0.611
0.257 0.500 0.321
0.262 0.000 0.182
0.663 0.000 0.394
0.670 0.000 0.876
0.675 0.000 0.569
0.681 0.500 0.732
0.772 0.500 0.264
0.938 0.500 0.103
```



(4)
For Ba7SnN6, a structure optimized by DFT (PBE) gives the calculated powder X-ray diffraction pattern in this record (Cu Ka).

Top 10 peaks for 2θ from 10° to 90°, sorted by position:
d [Å], Position (°2θ), intensity
3.330, 26.77, 24
3.214, 27.76, 100
3.199, 27.89, 19
3.187, 28.00, 36
2.857, 31.31, 51
2.814, 31.80, 18
2.679, 33.44, 15
2.386, 37.70, 11
2.009, 45.13, 13
1.697, 54.03, 12

Cell and atoms:
```
Ba7SnN6
1.0
12.747 0.000 0.000
0.000 7.092 0.000
0.000 0.000 14.887
Ba Sn N
28 4 24
direct
0.000 0.071 0.250
0.000 0.929 0.750
0.032 0.240 0.518
0.032 0.760 0.018
0.215 0.407 0.121
0.215 0.593 0.621
0.229 0.334 0.872
0.229 0.666 0.372
0.271 0.166 0.372
0.271 0.834 0.872
0.285 0.093 0.621
0.285 0.907 0.121
0.468 0.260 0.018
0.468 0.740 0.518
0.500 0.429 0.750
0.500 0.571 0.250
0.532 0.260 0.482
0.532 0.740 0.982
0.715 0.093 0.879
0.715 0.907 0.379
0.729 0.166 0.128
0.729 0.834 0.628
0.771 0.334 0.628
0.771 0.666 0.128
0.785 0.407 0.379
0.785 0.593 0.879
0.968 0.240 0.982
0.968 0.760 0.482
0.000 0.424 0.750
0.000 0.576 0.250
0.500 0.076 0.250
0.500 0.924 0.750
0.054 0.404 0.358
0.054 0.596 0.858
0.127 0.244 0.706
0.127 0.756 0.206
0.164 0.096 0.997
0.164 0.904 0.497
0.336 0.404 0.497
0.336 0.596 0.997
0.373 0.256 0.206
0.373 0.744 0.706
0.446 0.096 0.858
0.446 0.904 0.358
0.554 0.096 0.642
0.554 0.904 0.142
0.627 0.256 0.294
0.627 0.744 0.794
0.664 0.404 0.003
0.664 0.596 0.503
0.836 0.096 0.503
0.836 0.904 0.003
0.873 0.244 0.794
0.873 0.756 0.294
0.946 0.404 0.142
0.946 0.596 0.642
```



(5)
For BaZnBO3F, a structure optimized by DFT (PBE) gives the calculated powder X-ray diffraction pattern in this record (Cu Ka).

Top 10 peaks for 2θ from 10° to 90°, sorted by position:
d [Å], Position (°2θ), intensity
4.440, 20.00, 40
3.112, 28.68, 100
2.564, 35.00, 48
2.210, 40.82, 13
2.182, 41.38, 17
1.979, 45.86, 29
1.662, 55.29, 25
1.566, 58.96, 24
1.480, 62.78, 11
1.225, 78.01, 12

Cell and atoms:
```
BaZnBO3F
1.0
5.127 0.000 0.000
-2.564 4.440 0.000
0.000 0.000 4.364
Ba Zn B O F
1 1 1 3 1
direct
0.000 0.000 0.000
0.333 0.667 0.500
0.667 0.333 0.500
0.384 0.309 0.500
0.691 0.075 0.500
0.925 0.616 0.500
0.333 0.667 0.000
```